1.
The following is a computed powder diffractogram of Ti2InPt3. It was derived from DFT lattice parameters and positions (GGA-PBE), using Cu Ka.

Peak list (12 most intense, 10 to 90 degrees two-theta, sorted by position)
d (Å)	Rel. int.
3.894	199
2.907	197
2.329	1000
2.069	175
2.043	172
1.947	142
1.454	112
1.418	112
1.239	127
1.228	129
1.185	105
1.165	104

```
Ti2InPt3
1.0
-2.0427 3.8938 6.2065
2.0427 -3.8938 6.2065
2.0427 3.8938 -6.2065
Ti In Pt
4 2 6
direct
0.2596 0.0096 0.2500 Ti
0.4195 0.6695 0.7500 Ti
0.5805 0.3305 0.2500 Ti
0.7404 0.9904 0.7500 Ti
0.0884 0.3384 0.7500 In
0.9116 0.6616 0.2500 In
0.0000 0.5000 0.5000 Pt
0.1757 0.1632 0.0125 Pt
0.3493 0.8368 0.5125 Pt
0.5000 0.5000 0.0000 Pt
0.6507 0.1632 0.4875 Pt
0.8243 0.8368 0.9875 Pt
```

=====

2.
The following is a computed powder diffractogram of Ce2ZnCoRh. It was derived from DFT lattice parameters and positions (GGA-PBE), using Cu Ka.

Peak list (12 most intense, 10 to 90 degrees two-theta, sorted by position)
d (Å)	Rel. int.
3.732	289
2.812	144
2.613	1000
2.412	388
2.295	323
2.034	184
1.830	151
1.819	113
1.662	237
1.629	89
1.458	160
1.428	150

```
Ce2ZnCoRh
1.0
3.6594 -5.8912 0.0000
3.6594 5.8912 0.0000
0.0000 0.0000 4.8239
Ce Zn Co Rh
4 2 2 2
direct
0.1159 0.3505 0.2500 Ce
0.3505 0.1159 0.7500 Ce
0.6495 0.8841 0.2500 Ce
0.8841 0.6495 0.7500 Ce
0.3537 0.6463 0.7500 Zn
0.6463 0.3537 0.2500 Zn
0.0244 0.9756 0.2500 Co
0.9756 0.0244 0.7500 Co
0.2408 0.7592 0.2500 Rh
0.7592 0.2408 0.7500 Rh
```

=====

3.
The following is a computed powder diffractogram of PmTmGaHg. It was derived from DFT lattice parameters and positions (GGA-PBE), using Cu Ka.

Peak list (12 most intense, 10 to 90 degrees two-theta, sorted by position)
d (Å)	Rel. int.
7.505	106
3.268	126
2.609	1000
2.567	498
1.876	84
1.815	179
1.515	167
1.490	360
1.305	102
1.183	60
1.152	80
1.148	82

```
PmTmGaHg
1.0
3.6302 0.0000 0.0000
0.0000 3.6302 0.0000
0.0000 0.0000 7.5055
Pm Tm Ga Hg
1 1 1 1
direct
0.0000 0.0000 0.0000 Pm
0.0000 0.0000 0.5281 Tm
0.5000 0.5000 0.7525 Ga
0.5000 0.5000 0.2879 Hg
```

=====

4.
The following is a computed powder diffractogram of YCu2SeO2. It was derived from DFT lattice parameters and positions (GGA-PBE), using Cu Ka.

Peak list (12 most intense, 10 to 90 degrees two-theta, sorted by position)
d (Å)	Rel. int.
3.987	60
3.670	1000
2.700	90
2.595	389
2.318	91
1.993	75
1.835	131
1.752	202
1.641	178
1.581	148
1.350	77
1.267	126

```
YCu2SeO2
1.0
3.6703 0.0000 0.0000
0.0000 3.6703 0.0000
0.0000 0.0000 11.9610
Y Cu Se O
1 2 1 2
direct
0.0000 0.0000 0.0000 Y
0.0000 0.0000 0.3178 Cu
0.0000 0.0000 0.6822 Cu
0.0000 0.0000 0.5000 Se
0.0000 0.0000 0.1705 O
0.0000 0.0000 0.8295 O
```